# Li3CeSb2
Computed PXRD pattern, Cu Kα (λ = 1.5418 Å). Input: a PBE-relaxed structure.

Atomic structure:
abc: 4.657 8.185 7.508
angles: 90.00 90.00 90.00
Space group Pmc2_1 (No. 26)
Unique sites:
Li (0.000, 0.080, 0.000) [2 per cell]
Li (0.000, 0.300, 0.355) [2 per cell]
Li (0.500, 0.153, 0.651) [2 per cell]
Ce (0.500, 0.458, 0.011) [2 per cell]
Sb (0.000, 0.355, 0.739) [2 per cell]
Sb (0.500, 0.161, 0.273) [2 per cell]

Principal peaks in the range 2θ from 10° to 90°, by angle:
| hkl | 2theta | d [Å] | I/Imax |
| --- | --- | --- | --- |
| 0 1 0 | 10.81 | 8.185 | 833 |
| 1 0 0 | 19.06 | 4.657 | 223 |
| 0 2 1 | 24.78 | 3.593 | 678 |
| 1 1 1 | 24.99 | 3.563 | 978 |
| 0 2 2 | 32.36 | 2.766 | 285 |
| 1 1 2 | 32.53 | 2.752 | 1000 |
| 1 3 0 | 38.23 | 2.354 | 488 |
| 2 0 0 | 38.67 | 2.328 | 323 |
| 1 1 3 | 42.47 | 2.129 | 229 |
| 2 2 1 | 46.48 | 1.954 | 246 |



# Pr3Mg2Pb4
Computed PXRD pattern, Cu Kα (λ = 1.5418 Å). Input: a PBE-relaxed structure.

Atomic structure:
abc: 12.706 4.760 9.651
angles: 90.00 113.85 90.00
Space group C2/m (No. 12)
Unique sites:
Pr (0.000, 0.000, 0.000) [2 per cell]
Pr (0.128, 0.500, 0.694) [4 per cell]
Mg (0.189, 0.500, 0.364) [4 per cell]
Pb (0.072, 0.000, 0.387) [4 per cell]
Pb (0.200, 0.500, 0.069) [4 per cell]

Principal peaks in the range 2θ from 10° to 90°, by angle:
| hkl | 2theta | d [Å] | I/Imax |
| --- | --- | --- | --- |
| 2 0 -3 | 27.91 | 3.197 | 414 |
| 3 1 -1 | 28.21 | 3.163 | 1000 |
| 3 1 0 | 29.74 | 3.005 | 721 |
| 0 0 3 | 30.37 | 2.943 | 318 |
| 1 1 2 | 30.80 | 2.903 | 679 |
| 3 1 -3 | 35.38 | 2.537 | 672 |
| 0 2 0 | 37.80 | 2.380 | 482 |
| 4 0 2 | 43.64 | 2.074 | 445 |
| 4 2 2 | 59.08 | 1.564 | 368 |
| 1 1 5 | 59.30 | 1.558 | 214 |



# UCuSe3I
Computed PXRD pattern, Cu Kα (λ = 1.5418 Å). Input: a PBE-relaxed structure.

Atomic structure:
abc: 3.856 18.508 10.379
angles: 90.00 90.00 90.00
Space group Cmcm (No. 63)
Unique sites:
U (0.000, 0.000, 0.000) [4 per cell]
Cu (0.000, 0.473, 0.250) [4 per cell]
Se (0.000, 0.055, 0.250) [4 per cell]
Se (0.000, 0.400, 0.059) [8 per cell]
I (0.000, 0.265, 0.750) [4 per cell]

Principal peaks in the range 2θ from 10° to 90°, by angle:
| hkl | 2theta | d [Å] | I/Imax |
| --- | --- | --- | --- |
| 0 4 0 | 19.18 | 4.627 | 490 |
| 0 2 2 | 19.61 | 4.526 | 788 |
| 1 3 0 | 27.28 | 3.270 | 452 |
| 1 3 1 | 28.62 | 3.119 | 742 |
| 1 3 2 | 32.36 | 2.767 | 449 |
| 0 0 4 | 34.57 | 2.595 | 388 |
| 1 5 2 | 37.89 | 2.374 | 1000 |
| 0 4 4 | 39.83 | 2.263 | 325 |
| 2 0 0 | 47.14 | 1.928 | 264 |
| 2 10 2 | 73.19 | 1.293 | 258 |